# K3IClF
Computed powder XRD pattern, Cu Kα (λ = 1.5418 Å). Input: a cell relaxed with PBE.

Top 6 peaks for 2θ = 10–80°, low angle first:
4.281 Å, 2θ 20.7, I 33; 3.426 Å, 2θ 26.0, I 100; 2.854 Å, 2θ 31.3, I 41; 2.681 Å, 2θ 33.4, I 49; 2.668 Å, 2θ 33.6, I 45; 2.575 Å, 2θ 34.8, I 43

Structure:
```
K3IClF
1.0
8.850 -2.575 0.000
8.850 2.575 0.000
-2.319 0.000 8.877
K I Cl F
6 2 2 2
Cartesian
-0.606 0.000 2.500
4.576 0.000 5.812
5.785 0.000 1.802
9.596 0.000 7.075
10.805 0.000 3.065
15.986 0.000 6.377
2.457 0.000 0.629
12.924 0.000 8.249
1.386 0.000 5.079
13.994 0.000 3.798
7.121 0.000 6.339
8.260 0.000 2.538
```

=====

# Rb2I6ClF
Computed powder XRD pattern, Cu Kα (λ = 1.5418 Å). Input: a cell relaxed with PBE.

Top 6 peaks for 2θ = 10–80°, low angle first:
3.401 Å, 2θ 26.2, I 100; 2.992 Å, 2θ 29.9, I 49; 2.858 Å, 2θ 31.3, I 16; 2.116 Å, 2θ 42.7, I 17; 2.067 Å, 2θ 43.8, I 24; 1.797 Å, 2θ 50.8, I 28

Structure:
```
Rb2I6ClF
1.0
-4.232 4.232 5.716
4.232 -4.232 5.716
4.232 4.232 -5.716
Rb I Cl F
2 6 1 1
Cartesian
4.232 0.000 2.858
0.000 4.232 2.858
0.000 0.000 2.323
2.276 2.276 0.000
1.956 -1.956 5.716
-1.956 1.956 5.716
1.956 1.956 5.716
0.000 0.000 9.110
0.000 0.000 5.716
0.000 0.000 0.000
```

=====

# Rb2ICl6F
Computed powder XRD pattern, Cu Kα (λ = 1.5418 Å). Input: a cell relaxed with PBE.

Top 6 peaks for 2θ = 10–80°, low angle first:
5.966 Å, 2θ 14.8, I 58; 3.953 Å, 2θ 22.5, I 54; 3.527 Å, 2θ 25.2, I 82; 2.983 Å, 2θ 30.0, I 50; 2.795 Å, 2θ 32.0, I 100; 1.764 Å, 2θ 51.8, I 45

Structure:
```
Rb2ICl6F
1.0
-3.953 3.953 4.547
3.953 -3.953 4.547
3.953 3.953 -4.547
Rb I Cl F
2 1 6 1
Cartesian
3.953 0.000 2.273
0.000 3.953 2.273
0.000 0.000 0.000
1.841 1.841 0.000
2.112 -2.112 4.547
0.000 0.000 2.445
0.000 0.000 6.648
-2.112 2.112 4.547
2.112 2.112 4.547
0.000 0.000 4.547
```

=====

# Tl3IClF
Computed powder XRD pattern, Cu Kα (λ = 1.5418 Å). Input: a cell relaxed with PBE.

Top 6 peaks for 2θ = 10–80°, low angle first:
3.598 Å, 2θ 24.7, I 26; 3.393 Å, 2θ 26.3, I 55; 3.219 Å, 2θ 27.7, I 100; 2.967 Å, 2θ 30.1, I 23; 2.340 Å, 2θ 38.5, I 25; 2.174 Å, 2θ 41.5, I 19

Structure:
```
Tl3IClF
1.0
8.990 0.000 0.000
0.000 4.680 0.000
-2.874 0.000 9.844
Tl I Cl F
6 2 2 2
Cartesian
-0.848 1.170 3.004
0.035 1.170 9.380
2.214 3.510 6.334
3.902 1.170 3.510
6.081 3.510 0.464
6.964 3.510 6.840
1.560 3.510 2.106
4.556 1.170 7.738
0.077 1.170 5.836
6.039 3.510 4.008
1.281 3.510 8.659
4.835 1.170 1.184
```

=====

# In2SiClF5
Computed powder XRD pattern, Cu Kα (λ = 1.5418 Å). Input: a cell relaxed with PBE.

Top 6 peaks for 2θ = 10–80°, low angle first:
4.532 Å, 2θ 19.6, I 37; 4.275 Å, 2θ 20.8, I 30; 3.204 Å, 2θ 27.8, I 63; 3.110 Å, 2θ 28.7, I 82; 2.564 Å, 2θ 35.0, I 100; 2.266 Å, 2θ 39.8, I 44

Structure:
```
In2SiClF5
1.0
-3.204 3.204 4.275
3.204 -3.204 4.275
3.204 3.204 -4.275
In Si Cl F
2 1 1 5
Cartesian
3.204 0.000 0.000
0.000 3.204 0.000
0.000 0.000 2.268
0.000 0.000 8.468
1.998 1.998 -2.082
1.206 -1.206 2.194
-1.206 1.206 2.194
1.206 1.206 2.194
0.000 0.000 3.963
```

=====

# TlIn2ClF
Computed powder XRD pattern, Cu Kα (λ = 1.5418 Å). Input: a cell relaxed with PBE.

Top 6 peaks for 2θ = 10–80°, low angle first:
5.075 Å, 2θ 17.5, I 28; 3.041 Å, 2θ 29.4, I 100; 2.865 Å, 2θ 31.2, I 25; 2.537 Å, 2θ 35.4, I 36; 1.899 Å, 2θ 47.9, I 30; 1.545 Å, 2θ 59.9, I 26

Structure:
```
TlIn2ClF
1.0
5.075 0.000 0.000
0.000 5.075 0.000
0.000 0.000 5.729
Tl In Cl F
1 2 1 1
Cartesian
0.000 0.000 0.000
0.000 2.537 2.865
2.537 0.000 2.865
2.537 2.537 0.000
0.000 0.000 2.865
```

=====

# IrCl4F6
Computed powder XRD pattern, Cu Kα (λ = 1.5418 Å). Input: a cell relaxed with PBE.

Top 6 peaks for 2θ = 10–80°, low angle first:
6.401 Å, 2θ 13.8, I 100; 5.714 Å, 2θ 15.5, I 51; 4.201 Å, 2θ 21.1, I 63; 4.178 Å, 2θ 21.3, I 76; 3.978 Å, 2θ 22.3, I 56; 3.417 Å, 2θ 26.1, I 64

Structure:
```
IrCl4F6
1.0
5.542 0.000 0.000
0.000 11.427 0.000
-0.052 0.000 7.728
Ir Cl F
2 8 12
Cartesian
0.000 0.000 0.000
-0.026 5.714 3.864
1.374 1.604 4.120
1.400 4.109 0.256
2.591 7.423 0.961
2.565 9.718 4.824
2.925 1.709 2.903
2.899 4.004 6.767
4.089 7.318 7.471
4.115 9.823 3.607
0.588 7.224 2.887
0.562 9.917 6.750
0.637 6.481 5.466
0.663 10.659 1.602
1.591 0.881 7.439
1.617 4.833 3.575
3.873 6.594 4.153
3.899 10.546 0.289
4.827 0.768 6.126
4.853 4.946 2.262
4.928 1.510 0.977
4.901 4.203 4.841
```

=====

# IrClF
Computed powder XRD pattern, Cu Kα (λ = 1.5418 Å). Input: a cell relaxed with PBE.

Top 6 peaks for 2θ = 10–80°, low angle first:
7.222 Å, 2θ 12.3, I 100; 3.611 Å, 2θ 24.7, I 12; 2.648 Å, 2θ 33.9, I 17; 2.636 Å, 2θ 34.0, I 14; 2.407 Å, 2θ 37.4, I 9; 1.805 Å, 2θ 50.6, I 8

Structure:
```
IrClF
1.0
2.778 0.000 0.000
1.230 5.298 0.000
1.122 0.186 7.222
Ir Cl F
2 2 2
Cartesian
0.637 1.297 0.034
4.493 4.186 7.188
1.749 1.472 5.048
3.380 4.011 2.173
3.114 4.027 5.630
2.016 1.456 1.592
```

=====

# Pr6Ir2Cl3F
Computed powder XRD pattern, Cu Kα (λ = 1.5418 Å). Input: a cell relaxed with PBE.

Top 6 peaks for 2θ = 10–80°, low angle first:
7.554 Å, 2θ 11.7, I 64; 3.045 Å, 2θ 29.3, I 100; 2.988 Å, 2θ 29.9, I 46; 2.412 Å, 2θ 37.3, I 20; 2.225 Å, 2θ 40.5, I 31; 2.051 Å, 2θ 44.2, I 34

Structure:
```
Pr6Ir2Cl3F
1.0
3.527 -6.293 0.000
3.527 6.293 0.000
-2.318 0.000 7.554
Pr Ir Cl F
6 2 3 1
Cartesian
-0.029 2.194 5.955
1.145 0.000 1.476
-0.029 -2.194 5.955
4.766 2.194 1.599
3.592 0.000 6.078
4.766 -2.194 1.599
3.527 4.183 0.000
3.527 -4.183 0.000
-1.159 0.000 3.777
2.368 2.161 3.777
2.368 -2.161 3.777
3.527 0.000 0.000
```

=====

# K2ClF7
Computed powder XRD pattern, Cu Kα (λ = 1.5418 Å). Input: a cell relaxed with PBE.

Top 6 peaks for 2θ = 10–80°, low angle first:
5.373 Å, 2θ 16.5, I 55; 5.179 Å, 2θ 17.1, I 61; 3.732 Å, 2θ 23.8, I 100; 3.532 Å, 2θ 25.2, I 82; 2.937 Å, 2θ 30.4, I 86; 2.195 Å, 2θ 41.1, I 58

Structure:
```
K2ClF7
1.0
7.079 -3.230 0.000
7.079 3.230 0.000
-6.600 0.000 7.083
K Cl F
4 2 14
Cartesian
1.720 0.928 0.383
-1.580 -0.928 3.925
9.138 0.928 3.158
5.838 -0.928 6.700
2.129 1.248 5.312
5.429 -1.248 1.771
-0.435 0.187 1.719
-3.735 -0.187 5.261
2.378 1.207 3.554
0.316 0.761 5.033
5.429 0.621 1.771
1.879 1.207 7.071
3.616 -0.761 1.491
3.941 0.761 5.592
5.678 -1.207 0.012
2.129 -0.621 5.312
7.242 -0.761 2.050
5.179 -1.207 3.529
11.292 0.187 1.822
7.992 -0.187 5.364
```

=====

# K4Cl3F12
Computed powder XRD pattern, Cu Kα (λ = 1.5418 Å). Input: a cell relaxed with PBE.

Top 6 peaks for 2θ = 10–80°, low angle first:
6.564 Å, 2θ 13.5, I 39; 3.790 Å, 2θ 23.5, I 30; 3.282 Å, 2θ 27.2, I 100; 2.936 Å, 2θ 30.5, I 37; 1.895 Å, 2θ 48.0, I 60; 1.468 Å, 2θ 63.4, I 21

Structure:
```
K4Cl3F12
1.0
-4.642 4.642 4.642
4.642 -4.642 4.642
4.642 4.642 -4.642
K Cl F
4 3 12
Cartesian
2.321 2.321 -2.321
2.321 -2.321 2.321
-2.321 2.321 2.321
2.321 2.321 2.321
4.642 0.000 0.000
0.000 4.642 0.000
0.000 0.000 4.642
3.233 1.299 0.000
6.050 1.299 0.000
4.642 -1.409 3.343
3.343 4.642 -1.409
1.299 0.000 3.233
0.000 3.233 1.299
4.642 1.409 3.343
3.343 4.642 1.409
1.299 0.000 6.050
0.000 6.050 1.299
-1.409 3.343 4.642
1.409 3.343 4.642
```

=====

# K3ClF4
Computed powder XRD pattern, Cu Kα (λ = 1.5418 Å). Input: a cell relaxed with PBE.

Top 6 peaks for 2θ = 10–80°, low angle first:
3.825 Å, 2θ 23.3, I 46; 3.269 Å, 2θ 27.3, I 97; 3.131 Å, 2θ 28.5, I 30; 3.040 Å, 2θ 29.4, I 100; 2.232 Å, 2θ 40.4, I 26; 2.137 Å, 2θ 42.3, I 45

Structure:
```
K3ClF4
1.0
4.275 0.000 0.000
0.000 8.260 0.000
0.000 0.000 10.150
K Cl F
6 2 8
Cartesian
1.069 0.362 1.412
1.069 3.768 1.412
1.069 6.195 5.636
3.206 2.065 4.513
3.206 4.492 8.737
3.206 7.898 8.737
1.069 2.065 7.128
3.206 6.195 3.021
1.069 0.196 7.137
1.069 2.065 3.258
1.069 3.934 7.137
1.069 6.195 9.920
3.206 2.065 0.230
3.206 4.326 3.013
3.206 6.195 6.892
3.206 8.064 3.013
```